Starting from a structure optimized by DFT (PBE), the XRD peak list of DyTh6Pb10 was simulated for λ = 1.5418 Å (Cu Kα).
Intensities are scaled so that the largest is 100.

Peak list (12 most intense, 2θ = 5–70°, sorted by position)
hkl 0 0 2, 2θ 27.7, I 14; hkl 2 1 0, 2θ 28.2, I 14; hkl 3 -1 1, 2θ 31.5, I 89; hkl 3 0 0, 2θ 32.0, I 82; hkl 1 1 2, 2θ 33.4, I 100; hkl 3 1 1, 2θ 41.3, I 23; hkl 4 -2 2, 2θ 47.0, I 26; hkl 3 2 1, 2θ 49.4, I 15; hkl 2 1 3, 2θ 51.4, I 20; hkl 4 1 2, 2θ 58.0, I 13; hkl 6 -2 1, 2θ 60.1, I 14; hkl 3 0 4, 2θ 67.1, I 18

Structural model:
```
data_DyTh6Pb10
_space_group_name_H-M_alt 'P -3 1 m'
_space_group_IT_number 162
_space_group_name_Hall '-P 3 2'
_cell_length_a 9.6830
_cell_length_b 9.6830
_cell_length_c 6.4397
_cell_angle_alpha 90.00
_cell_angle_beta 90.00
_cell_angle_gamma 120.00
loop_
_atom_site_label
_atom_site_fract_x
_atom_site_fract_y
_atom_site_fract_z
Dy1 0.0000 0.0000 0.0000
Th1 0.0000 0.3873 0.7573
Pb1 0.0000 0.2630 0.2761
Pb2 0.3333 0.6667 0.0000
Pb3 0.3333 0.6667 0.5000
```